Entry 1:
The following is a calculated powder XRD pattern of Ce4AsSe3. It was derived from DFT lattice parameters and positions (GGA-PBE), using Cu Kα, 1.54184 Å.
Kinematic intensities with the Lorentz-polarization factor, no thermal factor.

Crystal structure
```
Ce4AsSe3
1.0
4.210 -5.951 0.000
4.210 5.951 0.000
0.000 0.000 4.206
Ce As Se
4 1 3
direct
0.247 0.247 0.500
0.248 0.752 0.000
0.752 0.248 0.000
0.753 0.753 0.500
0.000 0.000 0.000
0.000 0.500 0.500
0.500 0.000 0.500
0.500 0.500 0.000
```

Top 10 peaks for 2θ = 10–90°, sorted by position:
| Position (°2θ) | I (rel.) |
| --- | --- |
| 25.93 | 14 |
| 30.03 | 100 |
| 42.98 | 74 |
| 50.89 | 7 |
| 53.32 | 26 |
| 62.41 | 12 |
| 68.75 | 3 |
| 70.80 | 33 |
| 78.78 | 25 |
| 84.61 | 2 |

---

Entry 2:
The following is a calculated powder XRD pattern of Ce3As3Se. It was derived from DFT lattice parameters and positions (GGA-PBE), using Cu Kα, 1.54184 Å.
Kinematic intensities with the Lorentz-polarization factor, no thermal factor.

Crystal structure
```
Ce3As3Se
1.0
4.670 2.696 2.461
-4.670 2.696 2.461
0.000 -5.392 2.461
Ce As Se
3 3 1
direct
0.001 0.500 0.500
0.500 0.001 0.500
0.500 0.500 0.001
0.011 0.011 0.532
0.011 0.532 0.011
0.532 0.011 0.011
0.500 0.500 0.500
```

Top 10 peaks for 2θ = 10–90°, sorted by position:
| Position (°2θ) | I (rel.) |
| --- | --- |
| 16.25 | 21 |
| 19.00 | 14 |
| 32.85 | 100 |
| 38.56 | 64 |
| 51.53 | 27 |
| 54.65 | 22 |
| 66.17 | 25 |
| 68.87 | 11 |
| 69.76 | 11 |
| 81.81 | 14 |

---

Entry 3:
The following is a calculated powder XRD pattern of CeAsSe4. It was derived from DFT lattice parameters and positions (GGA-PBE), using Cu Kα, 1.54184 Å.
Kinematic intensities with the Lorentz-polarization factor, no thermal factor.

Crystal structure
```
CeAsSe4
1.0
5.896 0.000 0.000
0.000 9.524 0.000
-2.366 0.000 6.747
Ce As Se
2 2 8
direct
0.115 0.250 0.153
0.885 0.750 0.847
0.317 0.750 0.434
0.683 0.250 0.566
0.081 0.562 0.182
0.081 0.938 0.182
0.289 0.250 0.575
0.379 0.750 0.794
0.621 0.250 0.206
0.711 0.750 0.425
0.919 0.062 0.818
0.919 0.438 0.818
```

Top 10 peaks for 2θ = 10–90°, sorted by position:
| Position (°2θ) | I (rel.) |
| --- | --- |
| 15.93 | 38 |
| 16.97 | 99 |
| 18.63 | 100 |
| 28.06 | 66 |
| 30.43 | 99 |
| 31.14 | 54 |
| 37.79 | 40 |
| 38.95 | 77 |
| 40.09 | 35 |
| 43.24 | 43 |